Record 1
The following is a calculated X-ray powder pattern of Ac2RuC4. It was derived from a DFT-relaxed cell (PBE, Alexandria), using CuKα.
No peak broadening, texture or thermal motion is included.

```
Ac2RuC4
1.0
-4.0344 5.3336 2.8024
4.0344 -5.3336 2.8024
4.0344 5.3336 -2.8024
Ac Ru C
4 2 8
direct
0.1497 0.1552 0.3049
0.3503 0.6552 0.0055
0.6497 0.3448 0.9945
0.8503 0.8448 0.6951
0.2500 0.7500 0.5000
0.7500 0.2500 0.5000
0.0722 0.6659 0.7380
0.1174 0.8239 0.9413
0.3826 0.3239 0.7066
0.4278 0.1658 0.5937
0.5722 0.8342 0.4063
0.6174 0.6761 0.2934
0.8826 0.1761 0.0587
0.9278 0.3342 0.2620
```

Main lines, in order of rising 2θ (10° ≤ 2θ ≤ 90°):
Position (°2θ)	I (rel.)
25.56	100
27.41	53
28.52	85
31.93	22
34.39	31
34.92	29
39.03	19
47.04	24
51.10	25
53.82	39

Record 2
The following is a calculated X-ray powder pattern of Na5B7C3. It was derived from a DFT-relaxed cell (PBE, Alexandria), using CuKα.
No peak broadening, texture or thermal motion is included.

```
Na5B7C3
1.0
8.9133 -1.4246 0.0000
8.9133 1.4246 0.0000
-5.2843 0.0000 12.2569
Na B C
10 14 6
direct
0.0000 0.0000 0.0000
0.0000 0.0000 0.5000
0.1990 0.1990 0.8996
0.2008 0.2008 0.3993
0.3990 0.3990 0.3007
0.3997 0.3997 0.8003
0.6003 0.6003 0.1997
0.6010 0.6010 0.6993
0.7992 0.7992 0.6007
0.8010 0.8010 0.1004
0.0330 0.0330 0.3161
0.1666 0.1666 0.5838
0.1700 0.1700 0.0904
0.2356 0.2356 0.7211
0.3695 0.3695 0.9883
0.3736 0.3736 0.4972
0.4387 0.4387 0.1277
0.5613 0.5613 0.8723
0.6264 0.6264 0.5028
0.6305 0.6305 0.0117
0.7644 0.7644 0.2789
0.8300 0.8300 0.9096
0.8334 0.8334 0.4162
0.9670 0.9670 0.6839
0.0310 0.0310 0.8111
0.2327 0.2327 0.2160
0.4356 0.4356 0.6215
0.5644 0.5644 0.3785
0.7673 0.7673 0.7840
0.9690 0.9690 0.1889
```

Main lines, in order of rising 2θ (10° ≤ 2θ ≤ 90°):
Position (°2θ)	I (rel.)
35.10	11
36.09	18
41.09	25
41.20	25
42.01	100
42.30	38
56.79	10
63.62	18
65.52	9
80.37	10

Record 3
The following is a calculated X-ray powder pattern of CsCaVBr6. It was derived from a DFT-relaxed cell (PBE, Alexandria), using CuKα.
No peak broadening, texture or thermal motion is included.

```
CsCaVBr6
1.0
7.1819 0.0000 0.0000
-3.5910 6.2197 0.0000
0.0000 0.0000 8.0901
Cs Ca V Br
1 1 1 6
direct
0.0000 0.0000 0.0000
0.3333 0.6667 0.5000
0.6667 0.3333 0.5000
0.3869 0.0350 0.6875
0.3869 0.3519 0.3125
0.6481 0.0350 0.3125
0.6481 0.6131 0.6875
0.9650 0.3519 0.6875
0.9650 0.6131 0.3125
```

Main lines, in order of rising 2θ (10° ≤ 2θ ≤ 90°):
Position (°2θ)	I (rel.)
10.94	24
17.99	77
27.17	100
33.22	16
33.37	88
39.94	31
43.66	32
44.47	16
51.88	22
55.99	27

> What is the formula in the first record?

Ac2RuC4